Calculated PXRD pattern
Compound: In2Ag3P3O12
Radiation: CuKα
Structure: a PBE-relaxed structure
Peak positions follow from Bragg's law for the DFT cell and can differ from measured ones.

Peak list (8 most intense, 5° ≤ 2θ ≤ 70°, low angle first)
h k l	two_theta	d/Å	I/Imax
1 1 1	20.10	4.418	23
2 2 -1	21.01	4.228	22
3 1 -2	29.44	3.034	46
4 0 0	30.52	2.929	60
2 4 0	31.26	2.861	100
1 3 -2	33.88	2.646	90
5 3 -2	42.96	2.105	22
3 3 2	49.37	1.846	24

Atomic structure:
```
data_In2Ag3P3O12
_chemical_formula_sum 'In8 Ag12 P12 O48'
_symmetry_space_group_name_H-M 'C 1 2/c 1'
_symmetry_Int_Tables_number 15
_symmetry_space_group_name_Hall '-C 2yc'
_cell_length_a 12.869
_cell_length_b 13.118
_cell_length_c 6.735
_cell_angle_alpha 90.00
_cell_angle_beta 114.45
_cell_angle_gamma 90.00
loop_
_atom_site_label
_atom_site_type_symbol
_atom_site_fract_x
_atom_site_fract_y
_atom_site_fract_z
_atom_site_occupancy
In1 In 0.228 0.156 0.151 1
Ag1 Ag 0.000 0.000 0.250 1
Ag2 Ag 0.000 0.277 0.250 1
Ag3 Ag 0.000 0.500 0.000 1
P1 P 0.000 0.271 0.750 1
P2 P 0.242 0.102 0.637 1
O1 O 0.053 0.201 0.956 1
O2 O 0.090 0.342 0.722 1
O3 O 0.136 0.424 0.323 1
O4 O 0.171 0.002 0.624 1
O5 O 0.179 0.160 0.419 1
O6 O 0.237 0.171 0.825 1
```